Structure and simulated powder diffractogram of LiCa2GaPd2 (a cell relaxed with PBE; Cu Kα, 1.54184 Å).
Lines closer than 0.1° are merged.

Crystal structure
Cell: 5.8649 14.5383 6.0133 Å, 90.00 90.00 90.00°
Space group Ibam (No. 72)
One atom of each set of equivalent atoms:
Li (0.0000, 0.0000, 0.2500) [4 per cell]
Ca (0.2443, 0.1711, 0.0000) [8 per cell]
Ga (0.0000, 0.5000, 0.2500) [4 per cell]
Pd (0.2345, 0.3889, 0.0000) [8 per cell]

Top 6 peaks for 2θ = 10–80°, in order of rising 2θ:
hkl, 2theta, I_rel
1 1 0, 16.30, 34
0 4 0, 24.49, 100
1 4 1, 32.59, 42
0 4 2, 38.87, 57
2 4 0, 39.48, 52
2 0 2, 43.09, 92

***

Structure and simulated powder diffractogram of Pa6Tc3Rh (a cell relaxed with PBE; Cu Kα, 1.54184 Å).
Lines closer than 0.1° are merged.

Crystal structure
Cell: 6.9520 7.0527 11.5449 Å, 90.00 125.43 90.00°
Space group P2_1/c (No. 14)
One atom of each set of equivalent atoms:
Pa (0.0343, 0.0639, 0.2552) [4 per cell]
Pa (0.2538, 0.6758, 0.0894) [4 per cell]
Pa (0.4154, 0.1399, 0.0534) [4 per cell]
Tc (0.0000, 0.0000, 0.0000) [2 per cell]
Tc (0.2335, 0.1589, 0.7084) [4 per cell]
Rh (0.5000, 0.0000, 0.5000) [2 per cell]

Top 6 peaks for 2θ = 10–80°, in order of rising 2θ:
hkl, 2theta, I_rel
2 1 -2, 28.64, 61
1 2 -2, 30.04, 50
1 0 2, 30.96, 100
1 1 -4, 34.12, 71
1 2 -3, 34.51, 54
1 3 -1, 40.51, 41